1.
Diffraction record for Tb5Nd3Th. The powder diffractogram is computed, not measured: it uses the PBE geometry in Alexandria and Cu Kα (λ = 1.5418 Å).

Structural model:
```
Tb5Nd3Th
1.0
-4.397 4.397 7.785
4.397 -4.397 7.785
4.397 4.397 -7.785
Tb Nd Th
10 6 2
Cartesian
0.000 0.000 0.000 Tb
6.254 1.857 -2.142 Tb
1.857 2.540 -2.142 Tb
6.254 1.857 2.142 Tb
1.857 2.540 2.142 Tb
0.000 0.000 7.785 Tb
2.540 1.857 5.642 Tb
-1.857 2.540 5.642 Tb
2.540 1.857 9.927 Tb
-1.857 2.540 9.927 Tb
3.374 1.023 0.000 Nd
0.000 0.000 3.892 Nd
3.374 -1.023 7.785 Nd
1.023 5.421 0.000 Nd
0.000 0.000 11.677 Nd
1.023 3.374 7.785 Nd
4.397 0.000 3.892 Th
0.000 4.397 3.892 Th
```

Largest 6 diffraction maxima, in order of rising 2θ, 2θ = 10–90°:
d (Å)  I_rel
3.135  39
3.109  52
2.915  100
2.619  15
2.115  20
1.755  24

2.
Diffraction record for NdHoCBr. The powder diffractogram is computed, not measured: it uses the PBE geometry in Alexandria and Cu Kα (λ = 1.5418 Å).

Structural model:
```
NdHoCBr
1.0
1.862 1.075 7.305
-1.862 1.075 7.305
0.000 -2.150 7.305
Nd Ho C Br
1 1 1 1
Cartesian
0.000 0.000 0.000 Nd
0.000 0.000 17.257 Ho
0.000 0.000 8.771 C
0.000 0.000 4.855 Br
```

Largest 6 diffraction maxima, in order of rising 2θ, 2θ = 10–90°:
d (Å)  I_rel
3.191  51
2.780  80
2.598  100
2.435  27
1.862  43
1.479  35

3.
Diffraction record for Tm2ThPa. The powder diffractogram is computed, not measured: it uses the PBE geometry in Alexandria and Cu Kα (λ = 1.5418 Å).

Structural model:
```
Tm2ThPa
1.0
4.810 0.000 0.000
0.000 4.810 0.000
0.000 0.000 5.026
Tm Th Pa
2 1 1
Cartesian
0.000 2.405 0.000 Tm
2.405 0.000 0.000 Tm
0.000 0.000 2.513 Th
2.405 2.405 2.513 Pa
```

Largest 6 diffraction maxima, in order of rising 2θ, 2θ = 10–90°:
d (Å)  I_rel
2.817  100
2.513  18
2.405  32
1.738  25
1.503  15
1.456  28

4.
Diffraction record for Pr2MnZn2Pt5. The powder diffractogram is computed, not measured: it uses the PBE geometry in Alexandria and Cu Kα (λ = 1.5418 Å).

Structural model:
```
Pr2MnZn2Pt5
1.0
9.793 0.000 0.000
0.000 9.793 0.000
0.000 0.000 3.819
Pr Mn Zn Pt
4 2 4 10
Cartesian
1.738 3.159 0.000 Pr
3.159 8.055 0.000 Pr
6.635 1.738 0.000 Pr
8.055 6.635 0.000 Pr
0.000 0.000 0.000 Mn
4.897 4.897 0.000 Mn
1.187 6.084 0.000 Zn
3.710 1.187 0.000 Zn
6.084 8.607 0.000 Zn
8.607 3.710 0.000 Zn
0.000 4.897 1.909 Pt
0.593 7.815 1.909 Pt
1.979 0.593 1.909 Pt
2.918 5.489 1.909 Pt
4.304 2.918 1.909 Pt
4.897 0.000 1.909 Pt
5.489 6.875 1.909 Pt
6.875 4.304 1.909 Pt
7.815 9.201 1.909 Pt
9.201 1.979 1.909 Pt
```

Largest 6 diffraction maxima, in order of rising 2θ, 2θ = 10–90°:
d (Å)  I_rel
2.878  27
2.405  100
2.375  61
2.213  46
1.909  29
1.488  29

5.
Diffraction record for CaPm5Pr6. The powder diffractogram is computed, not measured: it uses the PBE geometry in Alexandria and Cu Kα (λ = 1.5418 Å).

Structural model:
```
CaPm5Pr6
1.0
-2.616 5.231 7.854
2.616 -5.231 7.854
2.616 5.231 -7.854
Ca Pm Pr
1 5 6
Cartesian
0.000 0.000 0.000 Ca
2.616 0.000 2.690 Pm
0.000 0.000 5.235 Pm
0.000 5.231 0.000 Pm
0.000 0.000 10.473 Pm
0.000 5.231 5.164 Pm
2.616 -2.589 5.204 Pr
2.616 2.687 0.000 Pr
0.000 2.641 2.650 Pr
2.616 2.589 5.204 Pr
0.000 2.544 7.854 Pr
0.000 7.820 2.650 Pr
```

Largest 6 diffraction maxima, in order of rising 2θ, 2θ = 10–90°:
d (Å)  I_rel
3.021  100
2.616  51
1.850  36
1.578  43
1.200  17
1.170  16

6.
Diffraction record for Er5NbN6. The powder diffractogram is computed, not measured: it uses the PBE geometry in Alexandria and Cu Kα (λ = 1.5418 Å).

Structural model:
```
Er5NbN6
1.0
2.914 -5.039 0.000
2.914 5.039 0.000
-1.944 0.000 5.484
Er Nb N
5 1 6
Cartesian
0.000 0.000 0.000 Er
1.942 3.358 2.742 Er
2.914 1.674 0.000 Er
2.914 -1.674 0.000 Er
1.942 -3.358 2.742 Er
1.942 0.000 2.742 Nb
1.013 1.603 1.429 N
0.081 0.000 4.072 N
1.013 -1.603 1.429 N
2.870 1.603 4.054 N
3.802 0.000 1.412 N
2.870 -1.603 4.054 N
```

Largest 6 diffraction maxima, in order of rising 2θ, 2θ = 10–90°:
d (Å)  I_rel
2.744  100
2.376  71
1.680  48
1.434  26
1.432  18
1.372  12

7.
Diffraction record for Ta2Sn. The powder diffractogram is computed, not measured: it uses the PBE geometry in Alexandria and Cu Kα (λ = 1.5418 Å).

Structural model:
```
Ta2Sn
1.0
-1.779 1.779 4.568
1.779 -1.779 4.568
1.779 1.779 -4.568
Ta Sn
2 1
Cartesian
0.000 0.000 1.589 Ta
0.000 0.000 7.547 Ta
0.000 0.000 4.568 Sn
```

Largest 6 diffraction maxima, in order of rising 2θ, 2θ = 10–90°:
d (Å)  I_rel
2.515  64
2.313  100
1.779  23
1.410  43
1.303  16
1.157  11